No. 1
PrHoTl: calculated powder X-ray diffraction pattern (CuKα), based on a cell relaxed with PBE.
Neutral-atom scattering factors, no anomalous dispersion.

Largest 10 diffraction maxima, sorted by position, 15 to 90 degrees two-theta:
(1 0 2), d 2.773, 32.28 deg, intensity 84; (1 1 0), d 2.752, 32.53 deg, intensity 100; (1 1 2), d 2.142, 42.20 deg, intensity 19; (2 0 2), d 1.954, 46.49 deg, intensity 31; (2 1 2), d 1.593, 57.89 deg, intensity 32; (3 0 0), d 1.589, 58.05 deg, intensity 19; (1 1 4), d 1.449, 64.27 deg, intensity 29; (2 2 0), d 1.376, 68.14 deg, intensity 12; (3 1 2), d 1.233, 77.42 deg, intensity 14; (3 0 4), d 1.162, 83.09 deg, intensity 14

Crystal structure
Lattice parameters (Å, degrees): 5.5042 5.5042 6.8201 90.00 90.00 120.00
Space group P6_3/mmc (No. 194)
One atom of each set of equivalent atoms:
Pr  0.0000  0.0000  0.0000 (multiplicity 2)
Ho  0.3333  0.6667  0.2500 (multiplicity 2)
Tl  0.3333  0.6667  0.7500 (multiplicity 2)

=====

No. 2
CePm6Nd: calculated powder X-ray diffraction pattern (CuKα), based on a cell relaxed with PBE.
Neutral-atom scattering factors, no anomalous dispersion.

Largest 10 diffraction maxima, sorted by position, 15 to 90 degrees two-theta:
(2 2 0), d 2.974, 30.05 deg, intensity 100; (0 4 0), d 2.575, 34.84 deg, intensity 51; (4 0 0), d 1.824, 50.00 deg, intensity 6; (2 4 4), d 1.820, 50.11 deg, intensity 30; (2 6 0), d 1.554, 59.48 deg, intensity 22; (0 6 4), d 1.552, 59.57 deg, intensity 21; (4 4 0), d 1.488, 62.39 deg, intensity 6; (0 4 8), d 1.485, 62.53 deg, intensity 6; (4 6 4), d 1.182, 81.46 deg, intensity 12; (2 8 4), d 1.152, 84.05 deg, intensity 11

Crystal structure
Lattice parameters (Å, degrees): 7.297 10.295 14.551 90.00 90.00 90.00
Space group Fmmm (No. 69)
One atom of each set of equivalent atoms:
Ce  0.000  0.000  0.000 (multiplicity 4)
Pm  0.000  0.000  0.247 (multiplicity 8)
Pm  0.250  0.250  0.123 (multiplicity 16)
Nd  0.000  0.000  0.500 (multiplicity 4)